# 1
Starting from a structure optimized by DFT (PBE), the XRD peak list of Na2CaAs4O12 was computed for λ = 1.5418 Å (Cu Kα).
Kinematic intensities with the Lorentz-polarization factor, no thermal factor.

Atomic structure:
```
Na2CaAs4O12
1.0
10.131 0.000 0.000
0.000 10.131 0.000
0.000 0.000 5.240
Na Ca As O
4 2 8 24
Direct
0.000 0.000 0.000 Na
0.000 0.500 0.000 Na
0.500 0.000 0.000 Na
0.500 0.500 0.000 Na
0.250 0.250 0.000 Ca
0.750 0.750 0.000 Ca
0.023 0.750 0.500 As
0.250 0.523 0.500 As
0.250 0.977 0.500 As
0.477 0.750 0.500 As
0.523 0.250 0.500 As
0.750 0.023 0.500 As
0.750 0.477 0.500 As
0.977 0.250 0.500 As
0.056 0.178 0.256 O
0.056 0.322 0.744 O
0.134 0.634 0.652 O
0.134 0.866 0.348 O
0.178 0.056 0.744 O
0.178 0.444 0.256 O
0.322 0.056 0.256 O
0.322 0.444 0.744 O
0.366 0.634 0.348 O
0.366 0.866 0.652 O
0.444 0.178 0.744 O
0.444 0.322 0.256 O
0.556 0.678 0.744 O
0.556 0.822 0.256 O
0.634 0.134 0.348 O
0.634 0.366 0.652 O
0.678 0.556 0.256 O
0.678 0.944 0.744 O
0.822 0.556 0.744 O
0.822 0.944 0.256 O
0.866 0.134 0.652 O
0.866 0.366 0.348 O
0.944 0.678 0.256 O
0.944 0.822 0.744 O
```

Top 12 peaks for 5° ≤ 2θ ≤ 70°, by angle:
2θ = 16.92°, I = 48
2θ = 21.01°, I = 20
2θ = 24.86°, I = 40
2θ = 30.22°, I = 100
2θ = 35.44°, I = 20
2θ = 36.28°, I = 10
2θ = 39.52°, I = 8
2θ = 50.09°, I = 24
2θ = 50.99°, I = 12
2θ = 58.82°, I = 14
2θ = 60.43°, I = 20
2θ = 62.86°, I = 9



# 2
Starting from a structure optimized by DFT (PBE), the XRD peak list of Ca2Ni12As7 was computed for λ = 1.5418 Å (Cu Kα).
Kinematic intensities with the Lorentz-polarization factor, no thermal factor.

Atomic structure:
```
Ca2Ni12As7
1.0
9.389 0.000 0.000
-4.695 8.132 0.000
0.000 0.000 3.819
Ca Ni As
2 12 7
Direct
0.000 0.000 0.000 Ca
0.333 0.667 0.500 Ca
0.048 0.770 0.500 Ni
0.090 0.381 0.000 Ni
0.230 0.278 0.500 Ni
0.291 0.910 0.000 Ni
0.456 0.238 0.000 Ni
0.515 0.053 0.500 Ni
0.538 0.485 0.500 Ni
0.619 0.709 0.000 Ni
0.722 0.952 0.500 Ni
0.762 0.219 0.000 Ni
0.781 0.544 0.000 Ni
0.947 0.462 0.500 Ni
0.071 0.632 0.000 As
0.262 0.046 0.500 As
0.368 0.440 0.000 As
0.560 0.929 0.000 As
0.667 0.333 0.500 As
0.784 0.738 0.500 As
0.954 0.216 0.500 As
```

Top 12 peaks for 5° ≤ 2θ ≤ 70°, by angle:
2θ = 10.88°, I = 15
2θ = 18.90°, I = 16
2θ = 37.56°, I = 100
2θ = 40.82°, I = 19
2θ = 44.57°, I = 14
2θ = 45.35°, I = 12
2θ = 46.78°, I = 55
2θ = 47.62°, I = 37
2θ = 48.82°, I = 13
2θ = 50.88°, I = 18
2θ = 51.50°, I = 27
2θ = 54.76°, I = 17



# 3
Starting from a structure optimized by DFT (PBE), the XRD peak list of CaNi2As2 was computed for λ = 1.5418 Å (Cu Kα).
Kinematic intensities with the Lorentz-polarization factor, no thermal factor.

Atomic structure:
```
CaNi2As2
1.0
-2.043 2.043 5.005
2.043 -2.043 5.005
2.043 2.043 -5.005
Ca Ni As
1 2 2
Direct
0.000 0.000 0.000 Ca
0.250 0.750 0.500 Ni
0.750 0.250 0.500 Ni
0.369 0.369 0.000 As
0.631 0.631 0.000 As
```

Top 12 peaks for 5° ≤ 2θ ≤ 70°, by angle:
2θ = 17.72°, I = 50
2θ = 23.52°, I = 39
2θ = 30.95°, I = 11
2θ = 34.71°, I = 100
2θ = 35.89°, I = 89
2θ = 44.34°, I = 99
2θ = 48.11°, I = 100
2θ = 50.79°, I = 31
2θ = 57.51°, I = 44
2θ = 64.51°, I = 54
2θ = 67.49°, I = 5
2θ = 69.67°, I = 21